Simulated XRD peak list
Compound: Ba2LiGe
Radiation: λ = 1.5418 Å (Cu Kα)
Structure: the GGA-PBE geometry in Alexandria

```
Ba2LiGe
1.0
4.7682 0.0000 0.0000
-2.3841 4.1294 0.0000
0.0000 0.0000 25.4541
Ba Li Ge
6 3 3
Cartesian
0.0000 0.0000 0.0000
0.0000 0.0000 4.1251
0.0000 2.7529 16.9694
0.0000 2.7529 21.0945
2.3841 1.3765 8.4847
2.3841 1.3765 12.6098
0.0000 0.0000 10.5591
0.0000 2.7529 2.0743
2.3841 1.3765 19.0437
0.0000 0.0000 19.0513
0.0000 2.7529 10.5666
2.3841 1.3765 2.0819
```

Principal peaks in the range 10° ≤ 2θ ≤ 80°, sorted by position:
Position (°2θ)  Rel. int.  h k l
10.43  39  0 0 3
20.94  30  0 0 6
21.80  100  1 0 1
22.64  30  0 1 2
25.72  48  1 0 4
27.82  98  0 1 5
32.82  73  1 0 7
35.62  31  0 1 8
37.73  72  1 1 0
58.22  39  1 1 12